Simulated powder diffractogram
Compound: CePmPr6Nd2
Radiation: Cu Kα (weighted mean of Kα1 and Kα2)
Structure: a cell relaxed with GGA-PBE
Peak positions follow from Bragg's law for the DFT cell and can differ from measured ones.

Structure:
```
data_CePmPr6Nd2
_space_group_name_H-M_alt 'C 1 2/m 1'
_space_group_IT_number 12
_cell_length_a 11.5730
_cell_length_b 7.0670
_cell_length_c 9.0534
_cell_angle_alpha 90.00
_cell_angle_beta 104.72
_cell_angle_gamma 90.00
loop_
_space_group_symop_operation_xyz
'x,y,z'
'-x,-y,-z'
'-x,y,-z'
'x,-y,z'
'x+1/2,y+1/2,z'
'-x+1/2,-y+1/2,-z'
'-x+1/2,y+1/2,-z'
'x+1/2,-y+1/2,z'
loop_
_atom_site_label
_atom_site_fract_x
_atom_site_fract_y
_atom_site_fract_z
Ce1 0.0000 0.0000 0.0000
Pm1 0.0000 0.5000 0.5000
Pr1 0.1231 0.0000 0.4129
Pr2 0.1771 0.2625 0.7986
Nd1 0.0889 0.5000 0.1627
```

Principal peaks in the range 2θ from 10° to 80°, sorted by position:
2θ = 29.91°, intensity 66, (2 2 0)
2θ = 30.03°, intensity 40, (3 1 -2)
2θ = 30.27°, intensity 100, (2 2 -1)
2θ = 31.01°, intensity 76, (4 0 -1)
2θ = 32.26°, intensity 49, (1 1 -3)
2θ = 32.56°, intensity 51, (0 2 2)

***

Simulated powder diffractogram
Compound: Na2Te2H4O7
Radiation: Cu Kα (weighted mean of Kα1 and Kα2)
Structure: a cell relaxed with GGA-PBE
Peak positions follow from Bragg's law for the DFT cell and can differ from measured ones.

Structure:
```
data_Na2Te2H4O7
_space_group_name_H-M_alt 'P -1'
_space_group_IT_number 2
_cell_length_a 5.6943
_cell_length_b 6.3559
_cell_length_c 11.7935
_cell_angle_alpha 93.18
_cell_angle_beta 92.69
_cell_angle_gamma 102.29
loop_
_space_group_symop_operation_xyz
'x,y,z'
'-x,-y,-z'
loop_
_atom_site_label
_atom_site_fract_x
_atom_site_fract_y
_atom_site_fract_z
Na1 0.1032 0.2814 0.0652
Na2 0.3949 0.7192 0.4524
Te1 0.0405 0.0487 0.3625
Te2 0.4542 0.0038 0.8633
H1 0.0567 0.3514 0.8122
H2 0.2084 0.4189 0.6372
H3 0.2754 0.5361 0.8635
H4 0.4194 0.6053 0.6936
O1 0.0647 0.7625 0.3252
O2 0.1199 0.9015 0.7814
O3 0.1313 0.4301 0.8850
O4 0.2351 0.0028 0.5492
O5 0.2707 0.9523 0.9972
O6 0.3628 0.5169 0.6205
O7 0.4740 0.2661 0.1735
```

Principal peaks in the range 2θ from 10° to 80°, sorted by position:
2θ = 14.29°, intensity 100, (0 1 0)
2θ = 17.24°, intensity 23, (1 0 -1)
2θ = 20.48°, intensity 36, (-1 1 1)
2θ = 27.07°, intensity 23, (1 0 -3)
2θ = 29.77°, intensity 26, (1 -1 3)
2θ = 31.05°, intensity 27, (-1 2 1)

***

Simulated powder diffractogram
Compound: Nd3Si2BiPt9
Radiation: Cu Kα (weighted mean of Kα1 and Kα2)
Structure: a cell relaxed with GGA-PBE
Peak positions follow from Bragg's law for the DFT cell and can differ from measured ones.

Structure:
```
data_Nd3Si2BiPt9
_space_group_name_H-M_alt 'P -3 m 1'
_space_group_IT_number 164
_space_group_name_Hall '-P 3 2"'
_cell_length_a 5.7471
_cell_length_b 5.7471
_cell_length_c 11.7468
_cell_angle_alpha 90.00
_cell_angle_beta 90.00
_cell_angle_gamma 120.00
loop_
_atom_site_label
_atom_site_fract_x
_atom_site_fract_y
_atom_site_fract_z
Nd1 0.0000 0.0000 0.0000
Nd2 0.3333 0.6667 0.7699
Si1 0.3333 0.6667 0.1582
Bi1 0.0000 0.0000 0.5000
Pt1 0.0000 0.5000 0.0000
Pt2 0.1642 0.3283 0.3034
```

Principal peaks in the range 2θ from 10° to 80°, sorted by position:
2θ = 19.37°, intensity 30, (1 0 1)
2θ = 22.71°, intensity 44, (0 0 3)
2θ = 36.92°, intensity 77, (0 2 1)
2θ = 39.32°, intensity 100, (2 0 2)
2θ = 47.91°, intensity 27, (0 2 4)
2θ = 64.90°, intensity 25, (2 2 0)